[1]
Structure and computed powder diffraction line list of Pa4Pd6Rh7 (a structure optimized by DFT (PBE); Cu Kα).

Structural model:
Lattice parameters (Å, degrees): 7.2886 7.2886 7.2886 109.47 109.47 109.47
Positions (direct):
1 Pa 0.0000 0.0000 0.5000
2 Pa 0.0000 0.5000 0.0000
3 Pa 0.5000 0.0000 0.0000
4 Pa 0.5000 0.5000 0.5000
5 Pd 0.0000 0.2989 0.2989
6 Pd 0.0000 0.7011 0.7011
7 Pd 0.2989 0.0000 0.2989
8 Pd 0.2989 0.2989 0.0000
9 Pd 0.7011 0.0000 0.7011
10 Pd 0.7011 0.7011 0.0000
11 Rh 0.0000 0.0000 0.0000
12 Rh 0.2500 0.5000 0.7500
13 Rh 0.2500 0.7500 0.5000
14 Rh 0.5000 0.2500 0.7500
15 Rh 0.5000 0.7500 0.2500
16 Rh 0.7500 0.2500 0.5000
17 Rh 0.7500 0.5000 0.2500

Largest 10 diffraction maxima, in order of rising 2θ, 10 to 90 degrees two-theta:
2theta  d_spacing  I_rel
30.03  2.976  29.0
37.00  2.430  100.0
42.99  2.104  59.1
48.37  1.882  8.6
53.33  1.718  7.8
62.42  1.488  34.0
70.81  1.331  9.8
74.83  1.269  29.9
78.78  1.215  10.1
86.55  1.125  8.7


[2]
Structure and computed powder diffraction line list of Ti2TeSe2 (a structure optimized by DFT (PBE); Cu Kα).

Structural model:
Lattice parameters (Å, degrees): 10.3599 10.3599 10.3599 20.70 20.70 20.70
Positions (direct):
1 Ti 0.1009 0.1009 0.1009
2 Ti 0.8991 0.8991 0.8991
3 Te 0.5000 0.5000 0.5000
4 Se 0.2761 0.2761 0.2761
5 Se 0.7239 0.7239 0.7239

Largest 10 diffraction maxima, in order of rising 2θ, 10 to 90 degrees two-theta:
2theta  d_spacing  I_rel
26.38  3.378  18.9
30.11  2.968  29.1
31.41  2.848  100.0
36.55  2.458  23.0
40.80  2.212  22.3
48.06  1.893  22.9
48.94  1.861  35.3
56.44  1.630  14.0
59.31  1.558  15.2
76.10  1.251  13.4


[3]
Structure and computed powder diffraction line list of AlAg6 (a structure optimized by DFT (PBE); Cu Kα).

Structural model:
Lattice parameters (Å, degrees): 14.2371 14.2371 14.2371 168.10 168.10 16.86
Positions (direct):
1 Al 0.0000 0.0000 0.0000
2 Ag 0.1400 0.1400 0.0000
3 Ag 0.2868 0.2868 0.0000
4 Ag 0.4351 0.4351 0.0000
5 Ag 0.5649 0.5649 0.0000
6 Ag 0.7132 0.7132 0.0000
7 Ag 0.8600 0.8600 0.0000

Largest 10 diffraction maxima, in order of rising 2θ, 10 to 90 degrees two-theta:
2theta  d_spacing  I_rel
31.78  2.816  5.1
34.30  2.614  5.9
37.80  2.380  100.0
43.36  2.087  34.5
45.06  2.012  13.5
62.99  1.476  10.7
64.31  1.448  17.7
75.86  1.254  23.8
78.30  1.221  8.4
80.76  1.190  9.2


[4]
Structure and computed powder diffraction line list of ReGe2Se6 (a structure optimized by DFT (PBE); Cu Kα).

Structural model:
Lattice parameters (Å, degrees): 8.4110 8.4110 6.4958 97.58 97.58 84.24
Positions (direct):
1 Re 0.1163 0.8837 0.7500
2 Re 0.8837 0.1163 0.2500
3 Ge 0.2174 0.3862 0.6519
4 Ge 0.3862 0.2174 0.1519
5 Ge 0.6138 0.7826 0.8481
6 Ge 0.7826 0.6138 0.3481
7 Se 0.0180 0.1779 0.6199
8 Se 0.1102 0.6323 0.8717
9 Se 0.1779 0.0180 0.1199
10 Se 0.2847 0.4692 0.3346
11 Se 0.3677 0.8898 0.6283
12 Se 0.4692 0.2847 0.8346
13 Se 0.5308 0.7153 0.1654
14 Se 0.6323 0.1102 0.3717
15 Se 0.7153 0.5308 0.6654
16 Se 0.8221 0.9820 0.8801
17 Se 0.8898 0.3677 0.1283
18 Se 0.9820 0.8221 0.3801

Largest 10 diffraction maxima, in order of rising 2θ, 10 to 90 degrees two-theta:
2theta  d_spacing  I_rel
10.65  8.308  62.7
16.45  5.389  37.7
23.12  3.847  64.1
26.97  3.306  41.5
27.87  3.201  43.5
29.11  3.067  79.0
33.69  2.661  58.3
33.85  2.648  36.8
48.38  1.881  50.1
48.50  1.877  100.0